Diffraction record for Rb4GeTe5. The powder diffraction line list is computed, not measured: it uses a DFT-relaxed cell (PBE, Alexandria) and Cu Kα X-rays.

The 10 most intense peaks (10 to 80 degrees two-theta), in order of falling intensity:
d (Å), I/Imax, h k l
3.586, 100, 3 1 0
2.585, 94, 3 1 2
3.734, 77, 0 0 2
2.898, 50, 2 3 1
8.018, 39, 1 1 0
2.536, 25, 4 2 0
1.724, 24, 5 4 1
1.952, 22, 2 3 3
6.237, 21, 1 0 1
3.375, 20, 3 0 1

Crystal structure
a = 11.339 Å, b = 11.339 Å, c = 7.468 Å
α = 90.00°, β = 90.00°, γ = 90.00°
Space group I4 (No. 79)
Inequivalent atoms, fractional coordinates:
Rb 0.086 0.705 0.000
Ge 0.000 0.000 0.609
Te 0.000 0.000 0.955
Te 0.066 0.780 0.497

Diffraction record for CsNa2HfCl8. The powder diffraction line list is computed, not measured: it uses a DFT-relaxed cell (PBE, Alexandria) and Cu Kα X-rays.

The 10 most intense peaks (10 to 80 degrees two-theta), in order of falling intensity:
d (Å), I/Imax, h k l
4.335, 100, 1 1 0
3.234, 96, 1 -1 2
3.669, 93, 1 0 2
6.713, 93, 0 1 0
5.758, 81, 1 0 0
4.761, 69, 0 0 2
4.407, 61, 1 -1 0
2.490, 42, -1 2 2
2.879, 42, 1 2 0
2.743, 34, 0 2 -2

Crystal structure
a = 5.759 Å, b = 6.714 Å, c = 9.522 Å
α = 90.04°, β = 90.22°, γ = 90.95°
Space group P-1 (No. 2)
Inequivalent atoms, fractional coordinates:
Cs 0.000 0.000 0.000
Na 0.499 0.500 0.721
Hf 0.000 0.000 0.500
Cl 0.237 0.851 0.315
Cl 0.240 0.853 0.686
Cl 0.243 0.307 0.499
Cl 0.256 0.493 0.000

Diffraction record for K17RbCd11. The powder diffraction line list is computed, not measured: it uses a DFT-relaxed cell (PBE, Alexandria) and Cu Kα X-rays.

The 10 most intense peaks (10 to 80 degrees two-theta), in order of falling intensity:
d (Å), I/Imax, h k l
5.640, 100, 2 0 -2
6.485, 55, 0 2 1
3.413, 40, 2 2 -3
3.046, 39, 5 1 -1
3.705, 38, 2 4 -2
2.945, 33, 1 3 -3
2.503, 33, 6 0 -1
3.319, 30, 5 1 -2
3.239, 29, 1 5 1
2.706, 26, 4 2 -4

Crystal structure
a = 16.865 Å, b = 19.666 Å, c = 11.270 Å
α = 90.00°, β = 129.92°, γ = 90.00°
Space group Cm (No. 8)
Inequivalent atoms, fractional coordinates:
K 0.000 0.000 0.000
K 0.001 0.341 0.145
K 0.155 0.500 0.089
K 0.157 0.208 0.569
K 0.219 0.243 0.984
K 0.284 0.000 0.168
K 0.298 0.000 0.777
K 0.350 0.333 0.386
K 0.416 0.326 0.807
K 0.460 0.123 0.624
K 0.483 0.500 0.365
Rb 0.156 0.500 0.543
Cd 0.091 0.080 0.763
Cd 0.162 0.195 0.230
Cd 0.191 0.072 0.392
Cd 0.272 0.422 0.940
Cd 0.390 0.500 0.580
Cd 0.467 0.347 0.173

Diffraction record for Sr2Co2P2N. The powder diffraction line list is computed, not measured: it uses a DFT-relaxed cell (PBE, Alexandria) and Cu Kα X-rays.

The 10 most intense peaks (10 to 80 degrees two-theta), in order of falling intensity:
d (Å), I/Imax, h k l
2.648, 100, 4 0 -2
2.515, 98, 1 1 -2
2.384, 66, 3 1 0
2.758, 63, 1 1 1
2.893, 56, 2 0 1
1.908, 40, 0 2 0
1.558, 37, 1 1 3
5.787, 28, 0 0 1
1.443, 26, 7 1 -3
1.577, 26, 6 0 -4

Crystal structure
a = 11.024 Å, b = 3.816 Å, c = 6.964 Å
α = 90.00°, β = 123.80°, γ = 90.00°
Space group C2/m (No. 12)
Inequivalent atoms, fractional coordinates:
Sr 0.058 0.000 0.308
Co 0.183 0.500 0.066
P 0.196 0.500 0.757
N 0.000 0.500 0.000

Diffraction record for PtSe3. The powder diffraction line list is computed, not measured: it uses a DFT-relaxed cell (PBE, Alexandria) and Cu Kα X-rays.

The 10 most intense peaks (10 to 80 degrees two-theta), in order of falling intensity:
d (Å), I/Imax, h k l
2.696, 100, 2 0 0
1.906, 72, 2 2 0
1.206, 33, 4 2 0
3.813, 32, 1 1 0
1.556, 25, 2 2 2
2.201, 15, 2 1 1
1.348, 12, 4 0 0
1.441, 8, 3 2 1
1.705, 7, 3 1 0
1.271, 4, 4 1 1

Crystal structure
a = 5.392 Å, b = 5.392 Å, c = 5.392 Å
α = 90.00°, β = 90.00°, γ = 90.00°
Space group Im-3m (No. 229)
Inequivalent atoms, fractional coordinates:
Pt 0.000 0.000 0.000
Se 0.000 0.000 0.500

Diffraction record for BaGe2F. The powder diffraction line list is computed, not measured: it uses a DFT-relaxed cell (PBE, Alexandria) and Cu Kα X-rays.

The 10 most intense peaks (10 to 80 degrees two-theta), in order of falling intensity:
d (Å), I/Imax, h k l
2.631, 100, 1 1 2
3.358, 97, 0 0 8
2.301, 68, 1 1 6
1.826, 66, 2 0 4
1.898, 37, 1 1 10
3.757, 34, 1 0 1
1.447, 30, 2 0 12
3.494, 28, 1 0 3
3.099, 21, 1 0 5
1.561, 19, 1 1 14

Crystal structure
a = 3.794 Å, b = 3.794 Å, c = 26.864 Å
α = 90.00°, β = 90.00°, γ = 90.00°
Space group I-42d (No. 122)
Inequivalent atoms, fractional coordinates:
Ba 0.000 0.000 0.000
Ge 0.250 0.250 0.375
F 0.000 0.000 0.500

Diffraction record for Pm10Sn3Bi3. The powder diffraction line list is computed, not measured: it uses a DFT-relaxed cell (PBE, Alexandria) and Cu Kα X-rays.

The 10 most intense peaks (10 to 80 degrees two-theta), in order of falling intensity:
d (Å), I/Imax, h k l
2.779, 100, 2 1 1
2.709, 77, 1 1 2
2.698, 46, 3 0 0
1.795, 28, 2 1 3
3.059, 27, 2 1 0
1.455, 22, 5 0 2
3.325, 21, 0 0 2
1.912, 18, 2 2 2
2.127, 15, 3 1 1
1.415, 13, 3 0 4

Crystal structure
a = 9.3452 Å, b = 9.3452 Å, c = 6.6500 Å
α = 90.00°, β = 90.00°, γ = 120.00°
Space group P-62m (No. 189)
Inequivalent atoms, fractional coordinates:
Pm 0.0000 0.2424 0.0000
Pm 0.0000 0.7576 0.5000
Pm 0.3333 0.6667 0.2540
Sn 0.0000 0.3909 0.5000
Bi 0.0000 0.6087 0.0000